Record 1
Calculated powder XRD pattern
Compound: Ni2AgPt
Radiation: Cu Kα (λ = 1.5418 Å)
Structure: DFT lattice parameters and positions (GGA-PBE)

Principal peaks in the range 5 to 70 degrees two-theta, in order of rising 2θ:
two_theta  I_rel
26.2  30.8
40.9  100.0
42.2  9.0
46.6  17.1
48.1  31.0
55.6  8.3
65.9  5.1
69.3  20.2

Unit cell a=4.724 b=4.724 c=4.724 alpha=132.83 beta=132.83 gamma=68.92
Fractional positions:
Ni 0.000 0.000 0.000
Ni 0.750 0.250 0.500
Ag 0.500 0.500 0.000
Pt 0.250 0.750 0.500

***

Record 2
Calculated powder XRD pattern
Compound: Y2ZrIn
Radiation: Cu Kα (λ = 1.5418 Å)
Structure: DFT lattice parameters and positions (GGA-PBE)

Principal peaks in the range 5 to 70 degrees two-theta, in order of rising 2θ:
two_theta  I_rel
32.9  100.0
37.1  17.9
38.7  31.8
54.7  22.6
55.9  10.6
64.2  13.7
66.4  24.7
69.0  11.0

Unit cell a=5.860 b=5.860 c=5.860 alpha=133.19 beta=133.19 gamma=68.35
Fractional positions:
Y 0.250 0.750 0.500
Y 0.750 0.250 0.500
Zr 0.000 0.000 0.000
In 0.500 0.500 0.000

***

Record 3
Calculated powder XRD pattern
Compound: Ca3PtO4
Radiation: Cu Kα (λ = 1.5418 Å)
Structure: DFT lattice parameters and positions (GGA-PBE)

Principal peaks in the range 5 to 70 degrees two-theta, in order of rising 2θ:
two_theta  I_rel
16.6  100.0
22.6  54.5
23.4  38.7
25.1  53.8
32.3  85.2
34.0  50.3
40.0  36.3
44.7  38.6

Unit cell a=4.507 b=8.112 c=7.106 alpha=90.00 beta=90.00 gamma=90.00
Fractional positions:
Ca 0.250 0.021 0.160
Ca 0.250 0.479 0.160
Ca 0.250 0.750 0.604
Ca 0.750 0.250 0.396
Ca 0.750 0.521 0.840
Ca 0.750 0.979 0.840
Pt 0.250 0.250 0.787
Pt 0.750 0.750 0.213
O 0.250 0.250 0.329
O 0.250 0.504 0.808
O 0.250 0.750 0.270
O 0.250 0.996 0.808
O 0.750 0.004 0.192
O 0.750 0.250 0.730
O 0.750 0.496 0.192
O 0.750 0.750 0.671

***

Please write out number 3 again, unchanged.
Calculated powder XRD pattern
Compound: Ca3PtO4
Radiation: Cu Kα (λ = 1.5418 Å)
Structure: DFT lattice parameters and positions (GGA-PBE)

Principal peaks in the range 5 to 70 degrees two-theta, in order of rising 2θ:
two_theta  I_rel
16.6  100.0
22.6  54.5
23.4  38.7
25.1  53.8
32.3  85.2
34.0  50.3
40.0  36.3
44.7  38.6

Unit cell a=4.507 b=8.112 c=7.106 alpha=90.00 beta=90.00 gamma=90.00
Fractional positions:
Ca 0.250 0.021 0.160
Ca 0.250 0.479 0.160
Ca 0.250 0.750 0.604
Ca 0.750 0.250 0.396
Ca 0.750 0.521 0.840
Ca 0.750 0.979 0.840
Pt 0.250 0.250 0.787
Pt 0.750 0.750 0.213
O 0.250 0.250 0.329
O 0.250 0.504 0.808
O 0.250 0.750 0.270
O 0.250 0.996 0.808
O 0.750 0.004 0.192
O 0.750 0.250 0.730
O 0.750 0.496 0.192
O 0.750 0.750 0.671